# LaMg14Nb
Computed powder diffractogram, a wavelength of 1.5418 Å. Input: a cell relaxed with PBE.

Top 10 peaks for 15 to 90 degrees two-theta, in order of rising 2θ:
- 2θ = 15.64°, rel. 49
- 2θ = 23.54°, rel. 37
- 2θ = 31.59°, rel. 31
- 2θ = 32.57°, rel. 16
- 2θ = 35.37°, rel. 23
- 2θ = 36.33°, rel. 100
- 2θ = 48.15°, rel. 21
- 2θ = 56.25°, rel. 24
- 2θ = 64.12°, rel. 17
- 2θ = 68.23°, rel. 19

Crystal structure
abc: 6.541 6.541 10.150
angles: 90.00 90.00 120.00
Element x y z (fractional)
1 La 0.000 0.000 0.000
2 Mg 0.009 0.505 0.000
3 Mg 0.166 0.332 0.263
4 Mg 0.166 0.332 0.737
5 Mg 0.166 0.834 0.263
6 Mg 0.166 0.834 0.737
7 Mg 0.495 0.505 0.000
8 Mg 0.495 0.991 0.000
9 Mg 0.500 0.001 0.500
10 Mg 0.500 0.500 0.500
11 Mg 0.667 0.333 0.245
12 Mg 0.667 0.333 0.755
13 Mg 0.668 0.834 0.263
14 Mg 0.668 0.834 0.737
15 Mg 0.999 0.500 0.500
16 Nb 0.000 0.000 0.500